# 1
The following is a computed powder diffractogram of NdSmPdAu. It was derived from a PBE-relaxed structure, using Cu Ka.

The 10 most intense peaks (10 to 90 degrees two-theta), low angle first:
| 2θ (°) | I/Imax |
| --- | --- |
| 30.84 | 100 |
| 32.77 | 28 |
| 33.72 | 18 |
| 37.94 | 59 |
| 38.83 | 76 |
| 46.75 | 19 |
| 50.96 | 16 |
| 51.64 | 14 |
| 61.72 | 29 |
| 77.13 | 15 |

```
4
Lattice="4.7476 0.0000 0.0000 0.0000 1.9430 5.4650 0.0000 -1.9430 5.4650" Properties=species:S:1:pos:R:3 pbc="T T T"
Nd 0.0000 0.0000 0.0000
Sm 2.3738 0.0000 7.9207
Pd 0.0000 0.0000 3.0088
Au 2.3738 0.0000 4.8619
```

# 2
The following is a computed powder diffractogram of TbNdPdAu. It was derived from a PBE-relaxed structure, using Cu Ka.

The 10 most intense peaks (10 to 90 degrees two-theta), low angle first:
| 2θ (°) | I/Imax |
| --- | --- |
| 31.06 | 100 |
| 33.17 | 28 |
| 34.12 | 19 |
| 37.91 | 36 |
| 38.35 | 24 |
| 39.18 | 75 |
| 47.29 | 19 |
| 51.25 | 18 |
| 62.15 | 17 |
| 77.91 | 15 |

```
4
Lattice="4.7463 0.0000 0.0000 0.0000 1.9221 5.4013 0.0000 -1.9221 5.4013" Properties=species:S:1:pos:R:3 pbc="T T T"
Tb 0.0000 0.0000 0.0000
Nd 2.3732 0.0000 2.9785
Pd 2.3732 0.0000 5.9350
Au 0.0000 0.0000 7.7697
```

# 3
The following is a computed powder diffractogram of PmNdAu4. It was derived from a PBE-relaxed structure, using Cu Ka.

The 10 most intense peaks (10 to 90 degrees two-theta), low angle first:
| 2θ (°) | I/Imax |
| --- | --- |
| 32.81 | 35 |
| 32.91 | 35 |
| 37.33 | 100 |
| 47.15 | 26 |
| 59.96 | 6 |
| 61.56 | 24 |
| 61.69 | 23 |
| 70.08 | 16 |
| 79.59 | 12 |
| 81.07 | 11 |

```
6
Lattice="2.7299 -4.6285 0.0000 2.7299 4.6285 0.0000 0.0000 0.0000 5.4433" Properties=species:S:1:pos:R:3 pbc="T T T"
Pm 0.0000 0.0000 0.0000
Nd 2.7299 0.0000 2.7216
Au 2.7299 3.0988 2.7216
Au 2.7299 1.5388 0.0000
Au 2.7299 -1.5388 0.0000
Au 2.7299 -3.0988 2.7216
```

# 4
The following is a computed powder diffractogram of Pm3Nd2Au4. It was derived from a PBE-relaxed structure, using Cu Ka.

The 10 most intense peaks (10 to 90 degrees two-theta), low angle first:
| 2θ (°) | I/Imax |
| --- | --- |
| 28.36 | 42 |
| 29.45 | 17 |
| 31.85 | 67 |
| 32.08 | 100 |
| 33.89 | 28 |
| 34.78 | 21 |
| 39.16 | 19 |
| 42.60 | 24 |
| 47.23 | 23 |
| 48.79 | 32 |

```
18
Lattice="3.7351 -8.1313 0.0000 3.7351 8.1313 0.0000 0.0000 0.0000 8.3929" Properties=species:S:1:pos:R:3 pbc="T T T"
Pm 0.0000 0.0000 0.0000
Pm 1.8675 3.5888 2.0982
Pm 1.8675 -3.5888 6.2947
Pm 3.7351 0.0000 4.1965
Pm 5.6026 3.5888 2.0982
Pm 5.6026 -3.5888 6.2947
Nd 3.7351 6.5839 3.4025
Nd 3.7351 1.5475 7.5990
Nd 3.7351 -1.5475 0.7939
Nd 3.7351 -6.5839 4.9904
Au 3.7351 5.0619 0.3244
Au 1.8675 0.6276 2.0982
Au 1.8675 -0.6276 6.2947
Au 3.7351 3.0694 4.5209
Au 3.7351 -3.0694 3.8721
Au 5.6026 0.6276 2.0982
Au 5.6026 -0.6276 6.2947
Au 3.7351 -5.0619 8.0685
```

# 5
The following is a computed powder diffractogram of Pm3NdAu7. It was derived from a PBE-relaxed structure, using Cu Ka.

The 10 most intense peaks (10 to 90 degrees two-theta), low angle first:
| 2θ (°) | I/Imax |
| --- | --- |
| 23.53 | 36 |
| 31.74 | 100 |
| 33.66 | 67 |
| 36.23 | 57 |
| 36.95 | 54 |
| 38.10 | 60 |
| 42.20 | 42 |
| 44.44 | 32 |
| 47.42 | 41 |
| 62.38 | 29 |

```
22
Lattice="1.9170 -11.3911 0.0000 1.9170 11.3911 0.0000 0.0000 0.0000 12.6880" Properties=species:S:1:pos:R:3 pbc="T T T"
Pm 1.9170 8.1042 7.1002
Pm 1.9170 8.1042 11.9317
Pm 1.9170 7.1654 3.1720
Pm 1.9170 -7.1654 9.5160
Pm 1.9170 -8.1042 0.7563
Pm 1.9170 -8.1042 5.5877
Nd 1.9170 11.3180 3.1720
Nd 1.9170 -11.3180 9.5160
Au 1.9170 5.0538 7.2283
Au 1.9170 5.0538 11.8036
Au 1.9170 2.7091 3.1720
Au 1.9170 2.2192 8.0463
Au 1.9170 2.2192 10.9857
Au 1.9170 0.9232 0.9490
Au 1.9170 0.9232 5.3950
Au 1.9170 -0.9232 7.2929
Au 1.9170 -0.9232 11.7390
Au 1.9170 -2.2192 1.7023
Au 1.9170 -2.2192 4.6417
Au 1.9170 -2.7091 9.5160
Au 1.9170 -5.0538 0.8844
Au 1.9170 -5.0538 5.4596
```

# 6
The following is a computed powder diffractogram of Pm3NdAu4. It was derived from a PBE-relaxed structure, using Cu Ka.

The 9 most intense peaks (10 to 90 degrees two-theta), low angle first:
| 2θ (°) | I/Imax |
| --- | --- |
| 24.03 | 3 |
| 34.24 | 100 |
| 42.27 | 1 |
| 49.21 | 18 |
| 55.48 | 1 |
| 61.32 | 38 |
| 72.14 | 12 |
| 77.29 | 1 |
| 82.34 | 17 |

```
8
Lattice="-3.7033 3.7033 3.7033 3.7033 -3.7033 3.7033 3.7033 3.7033 -3.7033" Properties=species:S:1:pos:R:3 pbc="T T T"
Pm 3.7033 0.0000 0.0000
Pm 0.0000 3.7033 0.0000
Pm 0.0000 0.0000 3.7033
Nd 0.0000 0.0000 0.0000
Au 1.8516 1.8516 -1.8516
Au 1.8516 -1.8516 1.8516
Au -1.8516 1.8516 1.8516
Au 1.8516 1.8516 1.8516
```